Record 1
Structure and computed XRD peak list of YTmRh2 (a structure optimized by DFT (PBE); CuKα).

Structure:
Cell lengths 6.8270, 6.8270, 6.8270 Å; angles 90.00, 90.00, 90.00 degrees
Space group Fm-3m (No. 225)
Unique sites:
Y 0.0000 0.0000 0.0000 [4 per cell]
Tm 0.0000 0.0000 0.5000 [4 per cell]
Rh 0.2500 0.2500 0.2500 [8 per cell]

Main lines, by angle (10° ≤ 2θ ≤ 90°):
| two_theta | Rel. int. | index |
| --- | --- | --- |
| 22.6 | 62 | 1 1 1 |
| 37.3 | 1000 | 2 2 0 |
| 44.0 | 35 | 3 1 1 |
| 53.7 | 172 | 4 0 0 |
| 67.2 | 347 | 4 2 2 |
| 79.4 | 108 | 4 4 0 |

Record 2
Structure and computed XRD peak list of TmZnRh (a structure optimized by DFT (PBE); CuKα).

Structure:
Cell lengths 6.8874, 4.0187, 8.0187 Å; angles 90.00, 90.00, 90.00 degrees
Space group Pnma (No. 62)
Unique sites:
Tm 0.0354 0.2500 0.1837 [4 per cell]
Zn 0.1395 0.2500 0.5651 [4 per cell]
Rh 0.2446 0.7500 0.3783 [4 per cell]

Main lines, by angle (10° ≤ 2θ ≤ 90°):
| two_theta | Rel. int. | index |
| --- | --- | --- |
| 34.2 | 476 | 1 1 2 |
| 34.3 | 297 | 2 1 0 |
| 36.1 | 1000 | 2 1 1 |
| 40.5 | 235 | 0 1 3 |
| 45.1 | 259 | 0 2 0 |
| 66.1 | 222 | 3 2 2 |

Record 3
Structure and computed XRD peak list of UZn20Rh2 (a structure optimized by DFT (PBE); CuKα).

Structure:
Cell lengths 14.2680, 14.2680, 14.2680 Å; angles 90.00, 90.00, 90.00 degrees
Space group Fd-3m (No. 227, origin choice 2)
Unique sites:
U 0.1250 0.1250 0.1250 [8 per cell]
Zn 0.0000 0.0000 0.0000 [16 per cell]
Zn 0.0125 0.3750 0.8750 [48 per cell]
Zn 0.0602 0.0602 0.3230 [96 per cell]
Rh 0.0000 0.0000 0.5000 [16 per cell]

Main lines, by angle (10° ≤ 2θ ≤ 90°):
| two_theta | Rel. int. | index |
| --- | --- | --- |
| 20.6 | 367 | 3 1 1 |
| 37.3 | 1000 | 5 3 1 |
| 40.0 | 596 | 6 2 0 |
| 41.5 | 949 | 5 3 3 |
| 42.0 | 848 | 6 2 2 |
| 75.4 | 488 | 8 8 0 |

Record 4
Structure and computed XRD peak list of V3Rh5 (a structure optimized by DFT (PBE); CuKα).

Structure:
Cell lengths 4.3268, 5.4452, 9.3633 Å; angles 90.00, 90.00, 90.00 degrees
Space group Amm2 (No. 38)
Unique sites:
V 0.0000 0.0000 0.0000 [2 per cell]
V 0.0000 0.0000 0.4961 [2 per cell]
V 0.5000 0.0000 0.8243 [2 per cell]
Rh 0.0000 0.2491 0.7541 [4 per cell]
Rh 0.5000 0.0000 0.3305 [2 per cell]
Rh 0.5000 0.2500 0.0750 [4 per cell]

Main lines, by angle (10° ≤ 2θ ≤ 90°):
| two_theta | Rel. int. | index |
| --- | --- | --- |
| 38.2 | 193 | 0 2 2 |
| 41.8 | 361 | 2 0 0 |
| 43.8 | 1000 | 1 2 2 |
| 44.0 | 399 | 1 0 4 |
| 77.6 | 173 | 3 2 2 |
| 84.4 | 169 | 2 2 6 |

Repeat the third record exactly.
Structure and computed XRD peak list of UZn20Rh2 (a structure optimized by DFT (PBE); CuKα).

Structure:
Cell lengths 14.2680, 14.2680, 14.2680 Å; angles 90.00, 90.00, 90.00 degrees
Space group Fd-3m (No. 227, origin choice 2)
Unique sites:
U 0.1250 0.1250 0.1250 [8 per cell]
Zn 0.0000 0.0000 0.0000 [16 per cell]
Zn 0.0125 0.3750 0.8750 [48 per cell]
Zn 0.0602 0.0602 0.3230 [96 per cell]
Rh 0.0000 0.0000 0.5000 [16 per cell]

Main lines, by angle (10° ≤ 2θ ≤ 90°):
| two_theta | Rel. int. | index |
| --- | --- | --- |
| 20.6 | 367 | 3 1 1 |
| 37.3 | 1000 | 5 3 1 |
| 40.0 | 596 | 6 2 0 |
| 41.5 | 949 | 5 3 3 |
| 42.0 | 848 | 6 2 2 |
| 75.4 | 488 | 8 8 0 |